(1)
Theoretical XRD peak list
Compound: AcPm6Sm2
Radiation: Cu Kα
Structure: a structure optimized by DFT (PBE)
No peak broadening, texture or thermal motion is included.

The 10 most intense peaks (2θ = 10–80°), in order of rising 2θ:
Position (°2θ)  I (rel.)  hkl
27.97  41  6 0 -1
30.09  50  0 0 3
30.88  100  3 1 1
32.46  61  3 1 -2
32.61  29  6 0 1
49.17  26  9 1 -1
52.86  21  3 1 4
58.58  15  0 2 3
58.65  15  9 1 -4
58.81  15  9 1 2

Atomic structure:
Unit cell a=19.237 b=3.718 c=9.170 alpha=90.00 beta=103.67 gamma=90.00
Space group C2/m (No. 12)
Symmetry-distinct sites (fractional):
1 Ac 0.000 0.000 0.000 (multiplicity 2)
2 Pm 0.075 0.000 0.664 (multiplicity 4)
3 Pm 0.169 0.500 0.999 (multiplicity 4)
4 Pm 0.242 0.500 0.667 (multiplicity 4)
5 Sm 0.094 0.500 0.337 (multiplicity 4)

(2)
Theoretical XRD peak list
Compound: AcPm4Sm4
Radiation: Cu Kα
Structure: a structure optimized by DFT (PBE)
No peak broadening, texture or thermal motion is included.

The 10 most intense peaks (2θ = 10–80°), in order of rising 2θ:
Position (°2θ)  I (rel.)  hkl
11.34  1  1 1 0
18.87  1  1 0 1
22.79  1  2 2 0
24.87  1  2 1 1
29.75  100  3 0 1
34.48  51  0 0 2
49.57  37  3 3 2
58.88  44  3 0 3
61.78  13  6 0 2
72.71  6  0 0 4

Atomic structure:
Unit cell a=11.037 b=11.037 c=5.199 alpha=90.00 beta=90.00 gamma=90.00
Space group I4/mmm (No. 139)
Symmetry-distinct sites (fractional):
1 Ac 0.000 0.000 0.000 (multiplicity 2)
2 Pm 0.000 0.336 0.000 (multiplicity 8)
3 Sm 0.170 0.170 0.500 (multiplicity 8)

(3)
Theoretical XRD peak list
Compound: AcPm5Sm5
Radiation: Cu Kα
Structure: a structure optimized by DFT (PBE)
No peak broadening, texture or thermal motion is included.

The 10 most intense peaks (2θ = 10–80°), in order of rising 2θ:
Position (°2θ)  I (rel.)  hkl
28.24  100  1 0 3
28.39  86  1 1 0
29.43  30  1 1 1
33.81  23  2 0 1
34.95  24  1 0 4
36.43  31  2 0 2
36.79  25  1 1 3
50.20  58  3 0 0
58.74  26  2 2 0
66.43  20  3 1 3

Atomic structure:
Unit cell a=6.2876 b=6.2876 c=11.6443 alpha=90.00 beta=90.00 gamma=120.00
Space group P-6m2 (No. 187)
Symmetry-distinct sites (fractional):
1 Ac 0.0000 0.0000 0.0000 (multiplicity 1)
2 Pm 0.0061 0.5030 0.5000 (multiplicity 3)
3 Pm 0.6667 0.3333 0.2650 (multiplicity 2)
4 Sm 0.0000 0.0000 0.3358 (multiplicity 2)
5 Sm 0.3333 0.6667 0.1626 (multiplicity 2)
6 Sm 0.6667 0.3333 0.0000 (multiplicity 1)

(4)
Theoretical XRD peak list
Compound: Ac3PmSm8
Radiation: Cu Kα
Structure: a structure optimized by DFT (PBE)
No peak broadening, texture or thermal motion is included.

The 10 most intense peaks (2θ = 10–80°), in order of rising 2θ:
Position (°2θ)  I (rel.)  hkl
27.25  21  3 0 1
27.52  13  0 0 2
29.86  36  0 4 0
31.15  100  3 2 1
31.39  46  0 2 2
40.86  14  3 4 1
48.49  19  3 0 3
53.82  22  3 6 1
57.99  22  3 4 3
58.48  15  6 2 2

Atomic structure:
Unit cell a=11.372 b=11.970 c=6.483 alpha=90.00 beta=90.00 gamma=90.00
Space group Imm2 (No. 44)
Symmetry-distinct sites (fractional):
1 Ac 0.000 0.000 0.000 (multiplicity 2)
2 Ac 0.000 0.252 0.640 (multiplicity 4)
3 Pm 0.000 0.500 0.997 (multiplicity 2)
4 Sm 0.170 0.253 0.149 (multiplicity 8)
5 Sm 0.171 0.500 0.478 (multiplicity 4)
6 Sm 0.177 0.000 0.480 (multiplicity 4)

(5)
Theoretical XRD peak list
Compound: AcPm2Sm12
Radiation: Cu Kα
Structure: a structure optimized by DFT (PBE)
No peak broadening, texture or thermal motion is included.

The 10 most intense peaks (2θ = 10–80°), in order of rising 2θ:
Position (°2θ)  I (rel.)  hkl
29.03  92  0 2 7
30.08  75  2 2 2
30.89  100  0 4 0
31.11  50  2 2 3
32.14  53  0 2 8
32.51  70  2 2 4
36.25  54  2 2 6
46.73  35  2 0 11
57.08  42  2 4 11
60.60  30  4 4 0

Atomic structure:
Unit cell a=7.196 b=11.578 c=25.414 alpha=90.00 beta=90.00 gamma=90.00
Space group Cmme (No. 67)
Symmetry-distinct sites (fractional):
1 Ac 0.000 0.250 0.004 (multiplicity 4)
2 Pm 0.000 0.250 0.277 (multiplicity 4)
3 Pm 0.000 0.250 0.730 (multiplicity 4)
4 Sm 0.000 0.007 0.916 (multiplicity 8)
5 Sm 0.000 0.023 0.441 (multiplicity 8)
6 Sm 0.231 0.250 0.582 (multiplicity 8)
7 Sm 0.246 0.250 0.135 (multiplicity 8)
8 Sm 0.250 0.000 0.204 (multiplicity 8)
9 Sm 0.250 0.000 0.330 (multiplicity 8)

(6)
Theoretical XRD peak list
Compound: AcPm2Sm5
Radiation: Cu Kα
Structure: a structure optimized by DFT (PBE)
No peak broadening, texture or thermal motion is included.

The 10 most intense peaks (2θ = 10–80°), in order of rising 2θ:
Position (°2θ)  I (rel.)  hkl
27.69  28  -1 2 3
30.13  30  2 2 -2
31.59  100  -3 2 1
31.67  20  0 2 -4
41.36  16  3 0 -5
48.94  16  3 -4 3
54.40  13  5 0 -3
54.49  13  1 6 -3
58.53  18  -5 3 5
59.45  13  -3 3 7

Atomic structure:
Unit cell a=8.771 b=11.497 c=12.621 alpha=95.56 beta=108.59 gamma=105.69
Space group P-1 (No. 2)
Symmetry-distinct sites (fractional):
1 Ac 0.026 0.403 0.180 (multiplicity 2)
2 Ac 0.099 0.340 0.692 (multiplicity 2)
3 Pm 0.224 0.090 0.567 (multiplicity 2)
4 Pm 0.342 0.281 0.372 (multiplicity 2)
5 Pm 0.415 0.217 0.881 (multiplicity 2)
6 Pm 0.465 0.032 0.246 (multiplicity 2)
7 Sm 0.040 0.973 0.254 (multiplicity 2)
8 Sm 0.091 0.784 0.621 (multiplicity 2)
9 Sm 0.150 0.154 0.055 (multiplicity 2)
10 Sm 0.168 0.724 0.132 (multiplicity 2)
11 Sm 0.217 0.534 0.497 (multiplicity 2)
12 Sm 0.279 0.911 0.935 (multiplicity 2)
13 Sm 0.294 0.469 0.007 (multiplicity 2)
14 Sm 0.354 0.846 0.444 (multiplicity 2)
15 Sm 0.408 0.661 0.809 (multiplicity 2)
16 Sm 0.475 0.595 0.320 (multiplicity 2)

(7)
Theoretical XRD peak list
Compound: AcPm7Sm3
Radiation: Cu Kα
Structure: a structure optimized by DFT (PBE)
No peak broadening, texture or thermal motion is included.

The 10 most intense peaks (2θ = 10–80°), in order of rising 2θ:
Position (°2θ)  I (rel.)  hkl
27.42  46  2 2 1
29.74  97  2 0 -2
30.15  100  4 0 0
30.90  94  1 3 1
32.22  72  2 0 2
36.72  62  3 3 -1
49.37  23  1 3 -3
61.72  24  4 0 -4
62.97  23  2 6 -2
63.20  22  4 6 0

Atomic structure:
Unit cell a=11.905 b=10.169 c=6.632 alpha=90.00 beta=95.26 gamma=90.00
Space group C2/m (No. 12)
Symmetry-distinct sites (fractional):
1 Ac 0.000 0.000 0.000 (multiplicity 2)
2 Pm 0.000 0.000 0.500 (multiplicity 2)
3 Pm 0.234 0.500 0.702 (multiplicity 4)
4 Pm 0.250 0.175 0.759 (multiplicity 8)
5 Sm 0.000 0.328 0.500 (multiplicity 4)
6 Sm 0.000 0.500 0.000 (multiplicity 2)

(8)
Theoretical XRD peak list
Compound: Ac2Pm8Sm3
Radiation: Cu Kα
Structure: a structure optimized by DFT (PBE)
No peak broadening, texture or thermal motion is included.

The 10 most intense peaks (2θ = 10–80°), in order of rising 2θ:
Position (°2θ)  I (rel.)  hkl
24.84  15  2 0 1
29.02  23  2 2 1
29.56  36  1 1 -2
29.76  55  0 4 0
30.69  100  4 2 -1
31.99  25  2 2 -2
32.10  29  3 1 1
36.49  20  1 3 -2
38.63  18  3 3 1
53.39  28  4 6 -1

Atomic structure:
Unit cell a=13.468 b=12.009 c=6.343 alpha=90.00 beta=113.44 gamma=90.00
Space group C2/m (No. 12)
Symmetry-distinct sites (fractional):
1 Ac 0.203 0.000 0.355 (multiplicity 4)
2 Pm 0.069 0.000 0.772 (multiplicity 4)
3 Pm 0.151 0.500 0.040 (multiplicity 4)
4 Pm 0.169 0.246 0.677 (multiplicity 8)
5 Sm 0.000 0.254 0.000 (multiplicity 4)
6 Sm 0.000 0.500 0.500 (multiplicity 2)

(9)
Theoretical XRD peak list
Compound: Ac10Pm4Sm
Radiation: Cu Kα
Structure: a structure optimized by DFT (PBE)
No peak broadening, texture or thermal motion is included.

The 10 most intense peaks (2θ = 10–80°), in order of rising 2θ:
Position (°2θ)  I (rel.)  hkl
18.47  14  1 2 1
21.36  29  3 1 0
30.39  100  3 1 2
35.80  8  5 0 1
37.44  10  2 4 2
43.47  13  6 2 0
48.93  9  6 2 2
53.99  41  5 5 2
63.22  13  6 2 4
71.69  12  10 0 0

Atomic structure:
Unit cell a=13.166 b=13.166 c=8.306 alpha=90.00 beta=90.00 gamma=90.00
Space group I4/m (No. 87)
Symmetry-distinct sites (fractional):
1 Ac 0.000 0.500 0.250 (multiplicity 4)
2 Ac 0.100 0.200 0.250 (multiplicity 16)
3 Pm 0.100 0.700 0.000 (multiplicity 8)
4 Sm 0.000 0.000 0.500 (multiplicity 2)

(10)
Theoretical XRD peak list
Compound: Ac19Pm6Sm4
Radiation: Cu Kα
Structure: a structure optimized by DFT (PBE)
No peak broadening, texture or thermal motion is included.

The 10 most intense peaks (2θ = 10–80°), in order of rising 2θ:
Position (°2θ)  I (rel.)  hkl
24.51  41  3 2 1
26.23  52  4 0 0
27.85  100  4 1 1
32.27  27  4 2 2
33.63  58  4 3 1
38.63  22  4 3 3
47.30  21  7 1 0
49.28  30  6 3 3
54.89  30  7 1 4
55.79  18  8 2 0

Atomic structure:
Unit cell a=13.589 b=13.589 c=13.589 alpha=90.00 beta=90.00 gamma=90.00
Space group I23 (No. 197)
Symmetry-distinct sites (fractional):
1 Ac 0.000 0.000 0.000 (multiplicity 2)
2 Ac 0.000 0.000 0.265 (multiplicity 12)
3 Ac 0.062 0.282 0.725 (multiplicity 24)
4 Pm 0.000 0.116 0.500 (multiplicity 12)
5 Sm 0.177 0.177 0.177 (multiplicity 8)

(11)
Theoretical XRD peak list
Compound: Ac3Pm7Sm2
Radiation: Cu Kα
Structure: a structure optimized by DFT (PBE)
No peak broadening, texture or thermal motion is included.

The 10 most intense peaks (2θ = 10–80°), in order of rising 2θ:
Position (°2θ)  I (rel.)  hkl
25.69  13  0 0 6
28.69  17  1 1 -2
29.97  100  1 1 2
30.44  71  0 2 0
31.81  38  1 1 3
33.79  32  0 1 7
47.81  15  2 0 -1
53.81  20  1 3 2
54.44  13  1 2 8
57.75  17  2 2 -1

Atomic structure:
Unit cell a=3.805 b=5.871 c=20.900 alpha=90.00 beta=95.23 gamma=90.00
Space group P2/m (No. 10)
Symmetry-distinct sites (fractional):
1 Ac 0.000 0.000 0.000 (multiplicity 1)
2 Ac 0.323 0.500 0.646 (multiplicity 2)
3 Pm 0.086 0.500 0.173 (multiplicity 2)
4 Pm 0.217 0.000 0.435 (multiplicity 2)
5 Pm 0.429 0.000 0.858 (multiplicity 2)
6 Pm 0.500 0.500 0.000 (multiplicity 1)
7 Sm 0.140 0.000 0.279 (multiplicity 2)